# V3Ir2Rh6
Calculated PXRD pattern, Cu Ka. Input: the PBE geometry in Alexandria.
No peak broadening, texture or thermal motion is included.

Most intense lines, 15° ≤ 2θ ≤ 90°, in order of rising 2θ:
(hkl), d_spacing, I_rel
0 0 1, 5.631, 20
0 1 1, 3.365, 11
-2 1 1, 2.215, 100
1 -2 2, 2.208, 49
0 1 2, 2.201, 48
1 1 -3, 1.944, 33
1 -3 0, 1.922, 32
2 0 1, 1.876, 29
0 4 -3, 1.367, 20
3 -3 1, 1.345, 19
3 0 -4, 1.170, 12
2 -5 2, 1.159, 12

Cell: 4.6588 6.0858 6.1150 Å, 107.80 98.90 104.97°
Space group P-1 (No. 2)
Inequivalent atoms, fractional coordinates:
1 V 0.0000 0.0000 0.0000 x1
2 V 0.1042 0.3693 0.8024 x2
3 Ir 0.2640 0.0804 0.4430 x2
4 Rh 0.1854 0.7256 0.6360 x2
5 Rh 0.3405 0.4421 0.2517 x2
6 Rh 0.4498 0.8116 0.0908 x2



# Mg2Cu2O5
Calculated PXRD pattern, Cu Ka. Input: the PBE geometry in Alexandria.
No peak broadening, texture or thermal motion is included.

Most intense lines, 15° ≤ 2θ ≤ 90°, in order of rising 2θ:
(hkl), d_spacing, I_rel
0 1 1, 3.676, 47
4 0 0, 3.487, 17
0 0 2, 2.611, 30
0 2 0, 2.588, 25
4 1 1, 2.530, 100
5 1 0, 2.456, 10
0 2 2, 1.838, 30
8 0 0, 1.743, 13
4 1 3, 1.491, 21
4 3 1, 1.483, 28
8 0 2, 1.450, 13
8 2 0, 1.446, 13

Cell: 13.9476 5.1760 5.2225 Å, 90.00 90.00 90.00°
Space group Ima2 (No. 46)
Inequivalent atoms, fractional coordinates:
1 Mg 0.1192 0.0018 0.0000 x8
2 Cu 0.0000 0.0000 0.4537 x4
3 Cu 0.2500 0.0240 0.5192 x4
4 O 0.0444 0.2332 0.7140 x8
5 O 0.1350 0.6261 0.8936 x8
6 O 0.2500 0.1177 0.8815 x4



# Nd2NiSn4Pd3
Calculated PXRD pattern, Cu Ka. Input: the PBE geometry in Alexandria.
No peak broadening, texture or thermal motion is included.

Most intense lines, 15° ≤ 2θ ≤ 90°, in order of rising 2θ:
(hkl), d_spacing, I_rel
1 1 0, 3.204, 16
1 0 3, 2.824, 67
1 1 2, 2.757, 100
2 0 0, 2.265, 75
1 1 4, 2.068, 30
1 0 5, 1.954, 26
2 1 3, 1.767, 34
2 2 0, 1.602, 25
2 1 5, 1.480, 21
3 1 2, 1.385, 24
3 1 4, 1.266, 13
2 0 8, 1.162, 15

Cell: 4.5305 4.5305 10.8323 Å, 90.00 90.00 90.00°
Space group P-4m2 (No. 115)
Inequivalent atoms, fractional coordinates:
1 Nd 0.0000 0.5000 0.2347 x2
2 Ni 0.5000 0.5000 0.0000 x1
3 Sn 0.0000 0.0000 0.5000 x1
4 Sn 0.0000 0.5000 0.8778 x2
5 Sn 0.5000 0.5000 0.5000 x1
6 Pd 0.0000 0.0000 0.0000 x1
7 Pd 0.0000 0.5000 0.6367 x2



# CsC3Se3N3
Calculated PXRD pattern, Cu Ka. Input: the PBE geometry in Alexandria.
No peak broadening, texture or thermal motion is included.

Most intense lines, 15° ≤ 2θ ≤ 90°, in order of rising 2θ:
(hkl), d_spacing, I_rel
1 1 1, 4.315, 16
1 3 -1, 4.198, 100
2 2 0, 3.974, 22
0 6 0, 3.618, 13
1 5 1, 3.092, 16
0 6 1, 3.053, 21
2 2 1, 3.041, 18
3 1 0, 2.823, 23
2 6 1, 2.382, 16
3 3 1, 2.269, 15
1 9 -2, 1.841, 24
4 6 -1, 1.829, 13

Cell: 8.6667 21.7091 5.7711 Å, 90.00 99.74 90.00°
Space group C2/c (No. 15)
Inequivalent atoms, fractional coordinates:
1 Cs 0.0000 0.2261 0.2500 x4
2 C 0.0000 0.3564 0.7500 x4
3 C 0.2212 0.1203 0.8156 x8
4 Se 0.0000 0.4410 0.7500 x4
5 Se 0.1983 0.0610 0.0314 x8
6 N 0.0000 0.3023 0.7500 x4
7 N 0.2339 0.1603 0.6821 x8



# BaBAsF10
Calculated PXRD pattern, Cu Ka. Input: the PBE geometry in Alexandria.
No peak broadening, texture or thermal motion is included.

Most intense lines, 15° ≤ 2θ ≤ 90°, in order of rising 2θ:
(hkl), d_spacing, I_rel
1 0 2, 5.294, 29
1 1 1, 5.008, 36
1 1 2, 4.079, 32
2 0 2, 4.022, 15
2 1 1, 3.892, 100
0 1 3, 3.428, 39
0 2 0, 3.199, 20
3 0 2, 3.081, 14
3 2 2, 2.219, 29
4 1 3, 2.111, 17
4 2 0, 2.054, 19
2 2 4, 2.039, 15

Cell: 10.7141 6.3987 12.1779 Å, 90.00 90.00 90.00°
Space group Pnma (No. 62)
Inequivalent atoms, fractional coordinates:
1 Ba 0.2390 0.2500 0.1144 x4
2 B 0.1383 0.7500 0.9300 x4
3 As 0.0202 0.7500 0.3035 x4
4 F 0.0063 0.7500 0.9290 x4
5 F 0.0733 0.2500 0.8133 x4
6 F 0.0745 0.0526 0.6349 x8
7 F 0.1138 0.7500 0.4241 x4
8 F 0.1182 0.5530 0.2468 x8
9 F 0.1820 0.5703 0.9855 x8
10 F 0.1828 0.7500 0.8209 x4